1.
Structure and calculated X-ray diffraction stick pattern of Li9Mn2Co5O16 (a DFT-relaxed cell (PBE+U, the Materials Project); λ = 1.5418 Å (Cu Kα)).
Kinematic intensities with the Lorentz-polarization factor, no thermal factor.

Cell and atoms:
```
Li9Mn2Co5O16
1.0
5.0806 0.0000 0.0000
0.8788 5.0828 0.0000
0.6966 1.5444 11.1787
Li Mn Co O
9 2 5 16
Cartesian
0.0000 0.0000 0.0000
5.8174 2.4198 8.3015
2.4708 5.6367 6.2708
3.2468 2.8464 6.9455
3.3184 3.7761 4.2412
3.3759 4.6285 1.4209
3.2593 1.9739 9.7545
5.8995 4.2072 2.8090
5.8660 3.3354 5.6120
4.9505 4.3192 10.4704
4.1640 0.9673 4.9105
2.4111 4.7477 8.9699
1.6390 1.4026 3.5779
1.6926 2.3248 0.7206
4.9418 5.2545 7.6321
4.2137 1.8612 2.1085
1.5443 5.0221 4.5100
1.5025 3.2655 10.2375
1.5727 4.0951 7.4514
0.8176 0.8148 1.7953
2.4931 2.9376 2.3533
2.5329 2.0807 5.1038
2.4930 1.1722 8.0639
3.3313 5.3438 10.7725
4.2270 5.4329 3.1972
3.4307 1.3091 0.3297
4.1632 3.6751 8.8372
4.2662 4.6076 5.8714
4.8882 1.6490 6.5350
4.9738 2.4418 3.8340
5.0330 3.3964 0.9763
5.8020 5.7620 9.4980
```

Peak list (10 most intense, 2θ from 10° to 80°, sorted by position)
| Position (°2θ) | I (rel.) |
| --- | --- |
| 18.3 | 100.0 |
| 35.6 | 14.3 |
| 35.9 | 13.7 |
| 36.2 | 12.4 |
| 37.5 | 7.8 |
| 43.0 | 28.8 |
| 43.5 | 27.8 |
| 43.9 | 26.6 |
| 47.5 | 8.9 |
| 63.0 | 7.7 |

2.
Structure and calculated X-ray diffraction stick pattern of Li2CoSiO4 (a DFT-relaxed cell (PBE+U, the Materials Project); λ = 1.5418 Å (Cu Kα)).
Kinematic intensities with the Lorentz-polarization factor, no thermal factor.

Cell and atoms:
```
Li2CoSiO4
1.0
6.0431 0.0000 0.0000
0.0000 5.4054 0.0000
-0.7388 0.0000 10.7137
Li Co Si O
8 4 4 16
Cartesian
0.0375 0.9894 1.8228
-0.3319 1.7133 7.1796
0.6932 0.9700 9.9085
1.0626 1.7327 4.5516
4.2417 3.6727 6.1621
4.6111 4.4354 0.8052
5.6363 3.6921 3.5341
5.2669 4.4160 8.8909
2.1569 3.6360 8.9332
2.5263 4.4721 3.5763
2.7780 0.9333 7.1374
3.1474 1.7694 1.7805
1.4666 3.7042 0.9360
1.0972 4.4039 6.2929
4.2072 1.0015 4.4208
3.8378 1.7012 9.7777
-0.0572 3.7030 7.1891
0.3122 4.4051 1.8322
1.0069 0.6550 6.1944
1.3763 2.0477 0.8375
1.2119 3.7135 4.8007
0.8425 4.3946 10.1575
2.7222 1.1327 3.5965
2.3528 1.5700 8.9534
2.9516 3.8354 1.7603
2.5822 4.2727 7.1172
4.4618 1.0108 0.5562
4.0924 1.6919 5.9130
3.9280 3.3577 9.8762
4.2974 4.7504 4.5193
4.9921 1.0003 8.8815
5.3615 1.7024 3.5246
```

Peak list (10 most intense, 2θ from 10° to 80°, sorted by position)
| Position (°2θ) | I (rel.) |
| --- | --- |
| 14.7 | 100.0 |
| 18.4 | 25.5 |
| 21.4 | 28.9 |
| 22.1 | 54.2 |
| 28.3 | 26.6 |
| 32.8 | 46.6 |
| 33.1 | 49.7 |
| 33.5 | 21.1 |
| 35.2 | 55.6 |
| 59.0 | 29.0 |

3.
Structure and calculated X-ray diffraction stick pattern of KVPbO4 (a DFT-relaxed cell (PBE+U, the Materials Project); λ = 1.5418 Å (Cu Kα)).
Kinematic intensities with the Lorentz-polarization factor, no thermal factor.

Cell and atoms:
```
KVPbO4
1.0
7.8509 0.0000 0.0000
0.0000 5.8967 0.0000
0.0000 0.0000 10.3326
K V Pb O
4 4 4 16
Cartesian
1.4070 1.4742 0.9237
2.5184 4.4225 6.0900
5.3324 1.4742 4.2426
6.4439 4.4225 9.4089
1.9084 1.4742 4.3466
2.0170 4.4225 9.5129
5.8339 1.4742 0.8197
5.9424 4.4225 5.9860
0.1764 1.4742 7.4071
3.7491 4.4225 2.2408
4.1018 1.4742 8.0918
7.6745 4.4225 2.9255
0.2242 1.4742 4.0611
1.2898 2.9877 8.8214
1.2898 5.8573 8.8214
1.7262 4.4225 0.9341
2.1993 1.4742 6.1004
2.6357 0.0394 3.6551
2.6357 2.9090 3.6551
3.7012 4.4225 9.2274
4.1497 1.4742 1.1052
5.2152 2.9877 6.6775
5.2152 5.8573 6.6775
5.6516 4.4225 4.2322
6.1247 1.4742 9.3985
6.5611 0.0394 1.5112
6.5611 2.9090 1.5112
7.6266 4.4225 6.2715
```

Peak list (10 most intense, 2θ from 10° to 80°, sorted by position)
| Position (°2θ) | I (rel.) |
| --- | --- |
| 17.2 | 22.4 |
| 17.3 | 51.7 |
| 25.6 | 11.3 |
| 28.6 | 100.0 |
| 30.0 | 42.7 |
| 30.3 | 27.9 |
| 39.8 | 13.5 |
| 41.9 | 18.4 |
| 42.1 | 26.3 |
| 52.8 | 12.2 |

4.
Structure and calculated X-ray diffraction stick pattern of RbMgMoO3 (a DFT-relaxed cell (PBE+U, the Materials Project); λ = 1.5418 Å (Cu Kα)).
Kinematic intensities with the Lorentz-polarization factor, no thermal factor.

Cell and atoms:
```
RbMgMoO3
1.0
3.3719 -2.9811 0.0000
3.3719 2.9811 0.0000
-0.7982 0.0000 4.4841
Rb Mg Mo O
1 1 1 3
Cartesian
0.0000 0.0000 0.0000
4.3348 0.0000 1.4591
2.0456 0.0000 2.8079
3.9162 1.4519 2.6510
2.6899 0.0000 0.4611
3.9162 -1.4519 2.6510
```

Peak list (10 most intense, 2θ from 10° to 80°, sorted by position)
| Position (°2θ) | I (rel.) |
| --- | --- |
| 20.0 | 14.3 |
| 26.6 | 19.7 |
| 30.0 | 100.0 |
| 30.6 | 24.3 |
| 40.7 | 17.7 |
| 43.0 | 27.1 |
| 43.3 | 26.7 |
| 43.6 | 25.6 |
| 53.2 | 19.5 |
| 62.2 | 19.6 |

5.
Structure and calculated X-ray diffraction stick pattern of Li2NiO2F (a DFT-relaxed cell (PBE+U, the Materials Project); λ = 1.5418 Å (Cu Kα)).
Kinematic intensities with the Lorentz-polarization factor, no thermal factor.

Cell and atoms:
```
Li2NiO2F
1.0
2.4944 -4.3675 0.0000
2.4944 4.3675 0.0000
-1.5448 0.0000 9.4511
Li Ni O F
8 4 8 4
Cartesian
2.4944 4.3661 0.0000
0.8800 1.5549 2.3290
0.0480 0.0000 7.1591
0.8337 -1.3620 2.3295
2.5639 1.5549 7.1221
2.4944 -1.3830 0.0000
3.3960 0.0000 2.2920
2.6102 -1.3620 7.1216
1.7220 2.9559 4.7255
2.4944 1.6553 0.0000
1.7220 0.0284 4.7255
1.7220 -2.8933 4.7255
1.7234 2.9370 1.1551
0.1691 0.0764 3.6586
0.8356 1.3798 5.7339
1.7205 2.9370 8.2959
2.6083 1.3798 3.7172
0.9737 -1.3484 5.7870
2.4703 -1.3484 3.6641
3.2749 0.0765 5.7925
1.7337 0.1422 1.1494
1.7103 0.1422 8.3017
1.6972 -2.8527 1.2075
1.7468 -2.8527 8.2436
```

Peak list (10 most intense, 2θ from 10° to 80°, sorted by position)
| Position (°2θ) | I (rel.) |
| --- | --- |
| 18.8 | 100.0 |
| 28.3 | 12.4 |
| 35.8 | 11.8 |
| 36.3 | 28.9 |
| 36.5 | 14.9 |
| 44.1 | 37.5 |
| 44.3 | 73.8 |
| 48.2 | 11.6 |
| 64.1 | 19.7 |
| 64.5 | 20.0 |

6.
Structure and calculated X-ray diffraction stick pattern of Fe4O5F3 (a DFT-relaxed cell (PBE+U, the Materials Project); λ = 1.5418 Å (Cu Kα)).
Kinematic intensities with the Lorentz-polarization factor, no thermal factor.

Cell and atoms:
```
Fe4O5F3
1.0
4.7406 0.0000 0.0000
-0.0109 6.0729 0.0000
-0.3774 -3.0236 9.4639
Fe O F
8 10 6
Cartesian
0.0000 0.0000 0.0000
-0.1906 3.0867 4.7102
-0.0364 0.0369 4.5390
-0.1237 0.0890 9.2198
2.0306 1.6179 2.3274
2.2080 4.5738 2.4632
2.1524 1.5808 6.9498
2.3196 -1.4726 7.1247
0.8533 1.5569 0.8150
0.8846 4.5979 0.8558
0.7577 1.5513 5.5548
1.2451 3.0926 3.2801
1.3146 0.0468 3.1845
1.3452 0.0528 7.8670
3.1062 3.0928 6.1620
3.6798 4.6058 3.8110
3.5860 1.5816 8.4394
3.6265 -1.4724 8.5006
0.8249 -1.4550 5.6569
1.2144 3.1036 7.9817
3.1555 3.0627 1.4446
3.2171 0.0497 1.3980
3.2036 0.0422 6.0440
3.6193 1.5503 3.6993
```

Peak list (10 most intense, 2θ from 10° to 80°, sorted by position)
| Position (°2θ) | I (rel.) |
| --- | --- |
| 26.1 | 99.4 |
| 27.2 | 96.3 |
| 35.1 | 100.0 |
| 38.0 | 16.7 |
| 40.5 | 16.1 |
| 52.0 | 27.6 |
| 52.1 | 27.2 |
| 53.3 | 53.6 |
| 61.0 | 17.1 |
| 66.8 | 28.0 |

7.
Structure and calculated X-ray diffraction stick pattern of LiFe4P4O16 (a DFT-relaxed cell (PBE+U, the Materials Project); λ = 1.5418 Å (Cu Kα)).
Kinematic intensities with the Lorentz-polarization factor, no thermal factor.

Cell and atoms:
```
LiFe4P4O16
1.0
-2.6707 6.3890 4.0326
2.6707 -6.3890 4.0326
2.6707 6.3890 -4.0326
Li Fe P O
1 4 4 16
Cartesian
0.0000 0.0000 0.0000
2.6707 4.7226 -1.3892
0.0000 1.6665 2.6433
0.0000 4.8191 2.6293
0.0000 7.9590 2.6293
2.6707 0.0000 1.4039
2.6707 -3.1673 3.8559
0.0000 0.0000 5.3755
2.6707 3.1673 3.8559
1.2778 3.2218 -1.1003
1.3930 -3.1673 2.9323
2.6707 1.2595 0.5466
0.0000 1.9019 0.6465
1.3127 6.3890 -1.7392
1.3580 0.0000 2.2934
0.0000 4.4485 0.7050
2.6707 5.1252 0.4974
1.2778 9.5563 -1.1003
1.3930 3.1673 2.9323
0.0000 1.2638 4.5300
0.0000 8.3296 0.7050
-1.4459 6.3890 2.3431
1.4459 6.3890 2.3431
0.0000 10.8761 0.6465
0.0000 5.1295 4.5792
```

Peak list (10 most intense, 2θ from 10° to 80°, sorted by position)
| Position (°2θ) | I (rel.) |
| --- | --- |
| 19.9 | 50.5 |
| 22.0 | 23.5 |
| 24.4 | 53.2 |
| 26.1 | 30.7 |
| 33.6 | 34.9 |
| 34.6 | 100.0 |
| 37.5 | 41.1 |
| 44.2 | 25.6 |
| 49.9 | 26.7 |
| 64.9 | 29.9 |